# Pr2Nd2CF5
Theoretical powder XRD pattern, λ = 1.5418 Å (Cu Kα). Input: a crystal structure in OQMD, relaxed with PBE.
Lines closer than 0.1° are merged.

Atomic structure:
Lattice parameters (Å, degrees): 7.7707 7.7707 6.9845 115.02 115.02 27.50
Fractional coordinates of all 10 atoms:
Pr 0.0041 0.0041 0.2601
Pr 0.9959 0.9959 0.7399
Nd 0.3195 0.3195 0.3156
Nd 0.6805 0.6805 0.6844
C 0.5000 0.5000 0.5000
F 0.1794 0.1794 0.9254
F 0.1851 0.1851 0.4505
F 0.5000 0.5000 0.0000
F 0.8149 0.8149 0.5495
F 0.8206 0.8206 0.0746

Principal peaks in the range 15 to 90 degrees two-theta, low angle first:
23.74 deg, 3.749 Å, intensity 45
27.32 deg, 3.265 Å, intensity 48
28.39 deg, 3.144 Å, intensity 47
29.11 deg, 3.067 Å, intensity 42
31.25 deg, 2.863 Å, intensity 100
35.86 deg, 2.504 Å, intensity 74
36.16 deg, 2.484 Å, intensity 78
39.80 deg, 2.265 Å, intensity 49
48.54 deg, 1.875 Å, intensity 57
49.70 deg, 1.835 Å, intensity 47

# AcLa3Zn2
Theoretical powder XRD pattern, λ = 1.5418 Å (Cu Kα). Input: a crystal structure in OQMD, relaxed with PBE.
Lines closer than 0.1° are merged.

Atomic structure:
Lattice parameters (Å, degrees): 3.7984 3.7984 12.8819 90.00 90.00 90.00
Fractional coordinates of all 6 atoms:
Ac 0.0000 0.0000 0.0000
La 0.5000 0.5000 0.2171
La 0.5000 0.5000 0.5000
La 0.5000 0.5000 0.7829
Zn 0.0000 0.0000 0.3573
Zn 0.0000 0.0000 0.6427

Principal peaks in the range 15 to 90 degrees two-theta, low angle first:
24.43 deg, 3.643 Å, intensity 20
27.26 deg, 3.272 Å, intensity 31
27.70 deg, 3.220 Å, intensity 14
31.44 deg, 2.845 Å, intensity 100
33.36 deg, 2.686 Å, intensity 62
43.89 deg, 2.063 Å, intensity 17
47.90 deg, 1.899 Å, intensity 22
55.48 deg, 1.656 Å, intensity 12
58.43 deg, 1.580 Å, intensity 34
79.86 deg, 1.201 Å, intensity 10